(1)
# IrPtPb2O
Theoretical XRD peak list, Cu Kα (weighted mean of Kα1 and Kα2). Input: DFT lattice parameters and positions (GGA-PBE).
Intensities are scaled so that the largest is 100.

The 6 most intense peaks (10 to 90 degrees two-theta), in order of rising 2θ:
(0 0 1), 2θ = 12.81°, d = 6.913 Å, rel. 76; (2 0 -2), 2θ = 28.11°, d = 3.175 Å, rel. 54; (1 1 1), 2θ = 29.93°, d = 2.985 Å, rel. 100; (1 1 -2), 2θ = 31.19°, d = 2.868 Å, rel. 58; (0 2 0), 2θ = 41.09°, d = 2.197 Å, rel. 42; (3 1 -1), 2θ = 41.84°, d = 2.159 Å, rel. 67

Unit cell a=7.474 b=4.394 c=7.609 alpha=90.00 beta=114.71 gamma=90.00
Space group Cm (No. 8)
Unique sites:
Ir 0.000 0.000 0.000 x2
Pt 0.200 0.500 0.067 x2
Pb 0.290 0.000 0.703 x2
Pb 0.458 0.000 0.284 x2
O 0.468 0.500 0.722 x2

---

(2)
# IrPtPb2O
Theoretical XRD peak list, Cu Kα (weighted mean of Kα1 and Kα2). Input: DFT lattice parameters and positions (GGA-PBE).
Intensities are scaled so that the largest is 100.

The 6 most intense peaks (10 to 90 degrees two-theta), in order of rising 2θ:
(1 0 0), 2θ = 24.81°, d = 3.589 Å, rel. 37; (1 0 1), 2θ = 26.18°, d = 3.404 Å, rel. 39; (0 1 2), 2θ = 31.39°, d = 2.850 Å, rel. 100; (1 1 -1), 2θ = 34.94°, d = 2.568 Å, rel. 59; (0 1 -2), 2θ = 36.01°, d = 2.494 Å, rel. 44; (1 0 -3), 2θ = 45.16°, d = 2.008 Å, rel. 30

Unit cell a=3.730 b=3.770 c=7.970 alpha=80.57 beta=81.70 gamma=75.45
Space group P-1 (No. 2)
Unique sites:
Ir 0.000 0.000 0.000 x1
Pt 0.500 0.000 0.500 x1
Pb 0.054 0.569 0.710 x2
O 0.500 0.000 0.000 x1

---

(3)
# IrPtPbO6
Theoretical XRD peak list, Cu Kα (weighted mean of Kα1 and Kα2). Input: DFT lattice parameters and positions (GGA-PBE).
Intensities are scaled so that the largest is 100.

The 6 most intense peaks (10 to 90 degrees two-theta), in order of rising 2θ:
(1 1 2), 2θ = 25.03°, d = 3.558 Å, rel. 15; (0 1 3), 2θ = 29.29°, d = 3.049 Å, rel. 100; (2 1 1), 2θ = 29.70°, d = 3.008 Å, rel. 39; (2 0 2), 2θ = 31.08°, d = 2.878 Å, rel. 48; (2 2 4), 2θ = 51.36°, d = 1.779 Å, rel. 28; (2 4 2), 2θ = 60.70°, d = 1.526 Å, rel. 19

Unit cell a=7.010 b=7.195 c=10.084 alpha=90.00 beta=90.00 gamma=90.00
Space group Imma (No. 74)
Unique sites:
Ir 0.000 0.000 0.000 x4
Pt 0.250 0.250 0.250 x4
Pb 0.000 0.250 0.582 x4
O 0.000 0.250 0.348 x4
O 0.000 0.250 0.933 x4
O 0.206 0.040 0.125 x16